This entry pairs a crystal structure of YbMgSe3 with its theoretical PXRD pattern. Radiation: Cu Kα (λ = 1.5418 Å). Structure: a structure optimized by DFT (PBE).
Neutral-atom scattering factors, no anomalous dispersion.

Structural model:
```
data_YbMgSe3
_chemical_formula_sum 'Yb6 Mg6 Se18'
_cell_length_a 7.0362
_cell_length_b 7.0362
_cell_length_c 18.4239
_cell_angle_alpha 90.00
_cell_angle_beta 90.00
_cell_angle_gamma 120.00
_space_group_name_H-M_alt 'R -3'
_space_group_IT_number 148
_space_group_name_Hall '-R 3'
loop_
_atom_site_label
_atom_site_fract_x
_atom_site_fract_y
_atom_site_fract_z
Yb1 0.0000 0.0000 0.1553
Mg1 0.0000 0.0000 0.3466
Se1 0.0061 0.6899 0.2541
```

Principal peaks in the range 2θ from 15° to 90°, sorted by position:
(hkl), two_theta, I_rel
1 0 1, 15.32, 203
0 1 2, 17.45, 226
1 0 4, 24.22, 196
1 1 3, 29.26, 1000
2 -1 6, 38.93, 631
3 0 0, 44.61, 438
2 -1 9, 51.66, 150
4 -2 3, 54.24, 163
2 2 6, 60.67, 165
5 -1 6, 78.36, 149